1.
The following is a computed PXRD pattern of Ni5H8Pd. It was derived from a DFT-relaxed cell (GGA-PBE, Alexandria), using a wavelength of 1.5418 Å.
Peak positions follow from Bragg's law for the DFT cell and can differ from measured ones.

Crystal structure
```
data_Ni5H8Pd
_symmetry_space_group_name_H-M 'P -1'
_symmetry_Int_Tables_number 2
_cell_length_a 2.808
_cell_length_b 5.008
_cell_length_c 7.054
_cell_angle_alpha 103.25
_cell_angle_beta 90.14
_cell_angle_gamma 90.02
loop_
_symmetry_equiv_pos_as_xyz
'x,y,z'
'-x,-y,-z'
loop_
_atom_site_label
_atom_site_type_symbol
_atom_site_fract_x
_atom_site_fract_y
_atom_site_fract_z
Ni1 Ni 0.000 0.000 0.000
Ni2 Ni 0.001 0.213 0.650
Ni3 Ni 0.499 0.284 0.344
H1 H 0.000 0.129 0.393
H2 H 0.000 0.268 0.888
H3 H 0.499 0.825 0.894
H4 H 0.500 0.372 0.603
Pd1 Pd 0.500 0.500 0.000
```

Top 10 peaks for 10 to 90 degrees two-theta, sorted by position:
2θ 36.17, I 27, (0 2 -1)
2θ 36.94, I 60, (1 -1 0)
2θ 39.37, I 79, (0 0 3)
2θ 40.16, I 53, (0 2 -2)
2θ 40.73, I 95, (1 1 1)
2θ 42.08, I 56, (0 2 1)
2θ 43.03, I 100, (1 1 -2)
2θ 64.99, I 35, (1 3 -1)
2θ 66.60, I 16, (2 0 0)
2θ 78.98, I 19, (1 -3 4)


2.
The following is a computed PXRD pattern of KSrPrSbO6. It was derived from a DFT-relaxed cell (GGA-PBE, Alexandria), using a wavelength of 1.5418 Å.
Peak positions follow from Bragg's law for the DFT cell and can differ from measured ones.

Crystal structure
```
data_KSrPrSbO6
_symmetry_space_group_name_H-M 'F -4 3 m'
_symmetry_Int_Tables_number 216
_symmetry_space_group_name_Hall 'F -4 2 3'
_cell_length_a 8.659
_cell_length_b 8.659
_cell_length_c 8.659
_cell_angle_alpha 90.00
_cell_angle_beta 90.00
_cell_angle_gamma 90.00
loop_
_atom_site_label
_atom_site_type_symbol
_atom_site_fract_x
_atom_site_fract_y
_atom_site_fract_z
K1 K 0.000 0.000 0.000
Sr1 Sr 0.000 0.000 0.500
Pr1 Pr 0.250 0.250 0.250
Sb1 Sb 0.250 0.250 0.750
O1 O 0.019 0.250 0.750
```

Top 10 peaks for 10 to 90 degrees two-theta, sorted by position:
2θ 20.51, I 27, (2 0 0)
2θ 29.17, I 100, (2 2 0)
2θ 41.72, I 34, (4 0 0)
2θ 46.92, I 11, (4 2 0)
2θ 51.72, I 40, (4 2 2)
2θ 60.48, I 20, (4 4 0)
2θ 64.57, I 5, (6 0 0)
2θ 68.54, I 18, (6 2 0)
2θ 76.17, I 7, (4 4 4)
2θ 83.55, I 21, (6 4 2)


3.
The following is a computed PXRD pattern of NaNdGa4S8. It was derived from a DFT-relaxed cell (GGA-PBE, Alexandria), using a wavelength of 1.5418 Å.
Peak positions follow from Bragg's law for the DFT cell and can differ from measured ones.

Crystal structure
```
data_NaNdGa4S8
_symmetry_space_group_name_H-M 'F d d d'
_symmetry_Int_Tables_number 70
_cell_length_a 12.270
_cell_length_b 20.395
_cell_length_c 20.451
_cell_angle_alpha 90.00
_cell_angle_beta 90.00
_cell_angle_gamma 90.00
loop_
_symmetry_equiv_pos_as_xyz
'x,y,z'
'-x,-y,-z'
'-x+1/4,-y+1/4,z'
'x+1/4,y+1/4,-z'
'x,-y+1/4,-z+1/4'
'-x,y+1/4,z+1/4'
'-x+1/4,y,-z+1/4'
'x+1/4,-y,z+1/4'
'x,y+1/2,z+1/2'
'-x,-y+1/2,-z+1/2'
'-x+1/4,-y+3/4,z+1/2'
'x+1/4,y+3/4,-z+1/2'
'x,-y+3/4,-z+3/4'
'-x,y+3/4,z+3/4'
'-x+1/4,y+1/2,-z+3/4'
'x+1/4,-y+1/2,z+3/4'
'x+1/2,y,z+1/2'
'-x+1/2,-y,-z+1/2'
'-x+3/4,-y+1/4,z+1/2'
'x+3/4,y+1/4,-z+1/2'
'x+1/2,-y+1/4,-z+3/4'
'-x+1/2,y+1/4,z+3/4'
'-x+3/4,y,-z+3/4'
'x+3/4,-y,z+3/4'
'x+1/2,y+1/2,z'
'-x+1/2,-y+1/2,-z'
'-x+3/4,-y+3/4,z'
'x+3/4,y+3/4,-z'
'x+1/2,-y+3/4,-z+1/4'
'-x+1/2,y+3/4,z+1/4'
'-x+3/4,y+1/2,-z+1/4'
'x+3/4,-y+1/2,z+1/4'
loop_
_atom_site_label
_atom_site_type_symbol
_atom_site_fract_x
_atom_site_fract_y
_atom_site_fract_z
Na1 Na 0.125 0.125 0.371
Nd1 Nd 0.125 0.125 0.125
Nd2 Nd 0.125 0.125 0.625
Ga1 Ga 0.086 0.304 0.251
Ga2 Ga 0.124 0.261 0.753
S1 S 0.002 0.344 0.496
S2 S 0.005 0.002 0.085
S3 S 0.006 0.003 0.584
S4 S 0.016 0.081 0.750
```

Top 10 peaks for 10 to 90 degrees two-theta, sorted by position:
2θ 12.26, I 49, (0 2 2)
2θ 16.86, I 30, (2 0 2)
2θ 17.35, I 28, (0 0 4)
2θ 24.29, I 100, (2 2 4)
2θ 24.66, I 20, (0 4 4)
2θ 30.05, I 49, (2 6 0)
2θ 31.30, I 38, (2 6 2)
2θ 35.12, I 41, (0 0 8)
2θ 38.51, I 79, (4 4 4)
2θ 46.87, I 29, (2 6 8)


4.
The following is a computed PXRD pattern of Sb4Se3S3. It was derived from a DFT-relaxed cell (GGA-PBE, Alexandria), using a wavelength of 1.5418 Å.
Peak positions follow from Bragg's law for the DFT cell and can differ from measured ones.

Crystal structure
```
data_Sb4Se3S3
_symmetry_space_group_name_H-M 'P m c 21'
_symmetry_Int_Tables_number 26
_cell_length_a 3.947
_cell_length_b 11.415
_cell_length_c 12.249
_cell_angle_alpha 90.00
_cell_angle_beta 90.00
_cell_angle_gamma 90.00
loop_
_symmetry_equiv_pos_as_xyz
'x,y,z'
'-x,-y,z+1/2'
'-x,y,z'
'x,-y,z+1/2'
loop_
_atom_site_label
_atom_site_type_symbol
_atom_site_fract_x
_atom_site_fract_y
_atom_site_fract_z
Sb1 Sb 0.000 0.082 0.000
Sb2 Sb 0.000 0.289 0.318
Sb3 Sb 0.500 0.207 0.605
Sb4 Sb 0.500 0.411 0.931
Se1 Se 0.000 0.380 0.515
Se2 Se 0.500 0.115 0.409
Se3 Se 0.500 0.450 0.252
S1 S 0.000 0.057 0.664
S2 S 0.000 0.299 0.843
S3 S 0.500 0.195 0.088
```

Top 10 peaks for 10 to 90 degrees two-theta, sorted by position:
2θ 14.46, I 31, (0 0 2)
2θ 16.43, I 32, (0 1 2)
2θ 23.13, I 31, (0 1 3)
2θ 26.85, I 35, (0 2 3)
2θ 28.44, I 100, (1 2 1)
2θ 31.18, I 70, (1 2 2)
2θ 32.69, I 33, (1 3 0)
2θ 45.06, I 32, (1 4 3)
2θ 45.97, I 43, (2 0 0)
2θ 50.32, I 37, (1 0 6)